Calculated XRD peak list
Compound: Ho2ErTmCd2
Radiation: Cu Kα X-rays
Structure: a DFT-relaxed cell (GGA-PBE, OQMD)
Kinematic intensities with the Lorentz-polarization factor, no thermal factor.

Main lines, by angle (2θ = 5–70°):
| 2theta | d (Å) | Rel. int. | h k l |
| --- | --- | --- | --- |
| 31.82 | 2.812 | 21 | 0 0 6 |
| 33.63 | 2.665 | 28 | 2 0 0 |
| 33.84 | 2.649 | 100 | 1 1 3 |
| 36.11 | 2.487 | 13 | 1 0 6 |
| 46.98 | 1.934 | 14 | 2 0 6 |
| 50.19 | 1.818 | 9 | 0 2 0 |
| 60.27 | 1.535 | 19 | 3 1 3 |
| 61.78 | 1.502 | 13 | 2 2 0 |

Structural model:
```
data_Ho2ErTmCd2
_space_group_name_H-M_alt 'A m m 2'
_space_group_IT_number 38
_cell_length_a 5.329
_cell_length_b 3.635
_cell_length_c 16.873
_cell_angle_alpha 90.00
_cell_angle_beta 90.00
_cell_angle_gamma 90.00
loop_
_space_group_symop_operation_xyz
'x,y,z'
'-x,-y,z'
'-x,y,z'
'x,-y,z'
'x,y+1/2,z+1/2'
'-x,-y+1/2,z+1/2'
'-x,y+1/2,z+1/2'
'x,-y+1/2,z+1/2'
loop_
_atom_site_label
_atom_site_type_symbol
_atom_site_fract_x
_atom_site_fract_y
_atom_site_fract_z
Ho1 Ho 0.000 0.000 0.000
Ho2 Ho 0.500 0.000 0.450
Er1 Er 0.500 0.000 0.135
Tm1 Tm 0.000 0.000 0.315
Cd1 Cd 0.000 0.000 0.658
Cd2 Cd 0.500 0.000 0.792
```

***

Calculated XRD peak list
Compound: NiBi3Cl
Radiation: Cu Kα X-rays
Structure: a DFT-relaxed cell (GGA-PBE, OQMD)
Kinematic intensities with the Lorentz-polarization factor, no thermal factor.

Main lines, by angle (2θ = 5–70°):
| 2theta | d (Å) | Rel. int. | h k l |
| --- | --- | --- | --- |
| 16.45 | 5.389 | 27 | 0 0 2 |
| 24.26 | 3.668 | 40 | 1 1 2 |
| 29.40 | 3.038 | 100 | 2 1 1 |
| 30.20 | 2.959 | 57 | 2 0 2 |
| 33.25 | 2.695 | 48 | 0 0 4 |
| 37.88 | 2.375 | 55 | 2 1 3 |
| 40.28 | 2.239 | 46 | 3 1 0 |
| 53.19 | 1.722 | 43 | 3 1 4 |

Structural model:
```
data_NiBi3Cl
_space_group_name_H-M_alt 'I 4/m c m'
_space_group_IT_number 140
_space_group_name_Hall '-I 4 2c'
_cell_length_a 7.081
_cell_length_b 7.081
_cell_length_c 10.779
_cell_angle_alpha 90.00
_cell_angle_beta 90.00
_cell_angle_gamma 90.00
loop_
_atom_site_label
_atom_site_type_symbol
_atom_site_fract_x
_atom_site_fract_y
_atom_site_fract_z
Ni1 Ni 0.000 0.000 0.000
Bi1 Bi 0.000 0.000 0.250
Bi2 Bi 0.159 0.341 0.000
Cl1 Cl 0.000 0.500 0.250
```

***

Calculated XRD peak list
Compound: HfHgPb
Radiation: Cu Kα X-rays
Structure: a DFT-relaxed cell (GGA-PBE, OQMD)
Kinematic intensities with the Lorentz-polarization factor, no thermal factor.

Main lines, by angle (2θ = 5–70°):
| 2theta | d (Å) | Rel. int. | h k l |
| --- | --- | --- | --- |
| 35.16 | 2.552 | 100 | 1 1 0 |
| 41.77 | 2.162 | 1 | 0 0 5 |
| 50.51 | 1.807 | 12 | 2 0 0 |
| 50.71 | 1.800 | 6 | 0 0 6 |
| 55.71 | 1.650 | 1 | 1 1 5 |
| 63.04 | 1.475 | 25 | 2 1 3 |
| 63.17 | 1.472 | 12 | 1 1 6 |
| 67.56 | 1.387 | 1 | 2 0 5 |

Structural model:
```
data_HfHgPb
_space_group_name_H-M_alt 'P 4/m m m'
_space_group_IT_number 123
_space_group_name_Hall '-P 4 2'
_cell_length_a 3.614
_cell_length_b 3.614
_cell_length_c 10.803
_cell_angle_alpha 90.00
_cell_angle_beta 90.00
_cell_angle_gamma 90.00
loop_
_atom_site_label
_atom_site_type_symbol
_atom_site_fract_x
_atom_site_fract_y
_atom_site_fract_z
Hf1 Hf 0.000 0.000 0.000
Hf2 Hf 0.500 0.500 0.500
Hg1 Hg 0.000 0.000 0.345
Pb1 Pb 0.500 0.500 0.172
```

***

Calculated XRD peak list
Compound: TbInAu6
Radiation: Cu Kα X-rays
Structure: a DFT-relaxed cell (GGA-PBE, OQMD)
Kinematic intensities with the Lorentz-polarization factor, no thermal factor.

Main lines, by angle (2θ = 5–70°):
| 2theta | d (Å) | Rel. int. | h k l |
| --- | --- | --- | --- |
| 34.68 | 2.587 | 27 | 0 2 1 |
| 35.51 | 2.528 | 45 | 2 0 0 |
| 38.91 | 2.314 | 57 | 1 0 2 |
| 39.12 | 2.303 | 100 | 1 2 1 |
| 50.48 | 1.808 | 19 | 2 2 1 |
| 61.86 | 1.500 | 18 | 0 2 3 |
| 66.04 | 1.415 | 12 | 3 0 2 |
| 66.18 | 1.412 | 22 | 3 2 1 |

Structural model:
```
data_TbInAu6
_space_group_name_H-M_alt 'P m m 2'
_space_group_IT_number 25
_cell_length_a 5.056
_cell_length_b 5.961
_cell_length_c 5.207
_cell_angle_alpha 90.00
_cell_angle_beta 90.00
_cell_angle_gamma 90.00
loop_
_space_group_symop_operation_xyz
'x,y,z'
'-x,-y,z'
'-x,y,z'
'x,-y,z'
loop_
_atom_site_label
_atom_site_type_symbol
_atom_site_fract_x
_atom_site_fract_y
_atom_site_fract_z
Tb1 Tb 0.000 0.000 0.000
In1 In 0.500 0.500 0.315
Au1 Au 0.000 0.257 0.499
Au2 Au 0.000 0.500 0.997
Au3 Au 0.500 0.000 0.325
Au4 Au 0.500 0.250 0.820
```

***

Calculated XRD peak list
Compound: Cs2BaTa6Br15O3
Radiation: Cu Kα X-rays
Structure: a DFT-relaxed cell (GGA-PBE, OQMD)
Kinematic intensities with the Lorentz-polarization factor, no thermal factor.

Main lines, by angle (2θ = 5–70°):
| 2theta | d (Å) | Rel. int. | h k l |
| --- | --- | --- | --- |
| 9.63 | 9.188 | 49 | 0 0 2 |
| 10.34 | 8.552 | 100 | 1 0 0 |
| 14.15 | 6.260 | 49 | 1 0 2 |
| 27.60 | 3.232 | 31 | 2 1 0 |
| 31.29 | 2.859 | 27 | 3 -1 3 |
| 33.91 | 2.644 | 80 | 3 -1 4 |
| 40.62 | 2.221 | 40 | 1 0 8 |
| 41.53 | 2.175 | 34 | 4 -2 4 |

Structural model:
```
data_Cs2BaTa6Br15O3
_space_group_name_H-M_alt 'P -3 1 c'
_space_group_IT_number 163
_space_group_name_Hall '-P 3 2c'
_cell_length_a 9.8748
_cell_length_b 9.8748
_cell_length_c 18.3770
_cell_angle_alpha 90.00
_cell_angle_beta 90.00
_cell_angle_gamma 120.00
loop_
_atom_site_label
_atom_site_type_symbol
_atom_site_fract_x
_atom_site_fract_y
_atom_site_fract_z
Cs1 Cs 0.3333 0.6667 0.0412
Ba1 Ba 0.3333 0.6667 0.7500
Ta1 Ta 0.0146 0.1832 0.8149
Br1 Br 0.0148 0.2187 0.0878
Br2 Br 0.0584 0.4457 0.8873
Br3 Br 0.2085 0.4169 0.2500
O1 O 0.1705 0.3410 0.7500
```

***

Calculated XRD peak list
Compound: Ta9Co2S6
Radiation: Cu Kα X-rays
Structure: a DFT-relaxed cell (GGA-PBE, OQMD)
Kinematic intensities with the Lorentz-polarization factor, no thermal factor.

Main lines, by angle (2θ = 5–70°):
| 2theta | d (Å) | Rel. int. | h k l |
| --- | --- | --- | --- |
| 9.89 | 8.946 | 100 | 1 0 0 |
| 33.77 | 2.654 | 34 | 2 0 2 |
| 36.20 | 2.481 | 34 | 3 1 0 |
| 38.12 | 2.361 | 55 | 2 1 2 |
| 40.33 | 2.237 | 21 | 4 0 0 |
| 44.56 | 2.033 | 21 | 2 2 2 |
| 64.52 | 1.444 | 13 | 5 1 2 |
| 68.30 | 1.373 | 10 | 3 1 4 |

Structural model:
```
data_Ta9Co2S6
_space_group_name_H-M_alt 'P -6 2 m'
_space_group_IT_number 189
_space_group_name_Hall 'P -6 -2'
_cell_length_a 10.3301
_cell_length_b 10.3301
_cell_length_c 6.5959
_cell_angle_alpha 90.00
_cell_angle_beta 90.00
_cell_angle_gamma 120.00
loop_
_atom_site_label
_atom_site_type_symbol
_atom_site_fract_x
_atom_site_fract_y
_atom_site_fract_z
Ta1 Ta 0.0000 0.4566 0.2489
Ta2 Ta 0.1918 0.7397 0.5000
Ta3 Ta 0.2112 0.7400 0.0000
Co1 Co 0.3333 0.6667 0.2781
S1 S 0.0000 0.2723 0.5000
S2 S 0.0000 0.2739 0.0000
S3 S 0.0000 0.7038 0.2381
```

***

Calculated XRD peak list
Compound: U2Ni12P7
Radiation: Cu Kα X-rays
Structure: a DFT-relaxed cell (GGA-PBE, OQMD)
Kinematic intensities with the Lorentz-polarization factor, no thermal factor.

Main lines, by angle (2θ = 5–70°):
| 2theta | d (Å) | Rel. int. | h k l |
| --- | --- | --- | --- |
| 19.60 | 4.530 | 14 | 1 1 0 |
| 26.72 | 3.336 | 22 | 1 0 1 |
| 30.13 | 2.966 | 13 | 1 2 0 |
| 34.28 | 2.616 | 13 | 3 0 0 |
| 38.98 | 2.311 | 100 | 1 2 1 |
| 49.46 | 1.843 | 16 | 0 0 2 |
| 53.52 | 1.712 | 16 | 4 1 0 |
| 56.93 | 1.618 | 13 | 2 3 1 |

Structural model:
```
data_U2Ni12P7
_space_group_name_H-M_alt 'P -6'
_space_group_IT_number 174
_cell_length_a 9.0605
_cell_length_b 9.0605
_cell_length_c 3.6857
_cell_angle_alpha 90.00
_cell_angle_beta 90.00
_cell_angle_gamma 120.00
loop_
_space_group_symop_operation_xyz
'x,y,z'
'-x+y,-x,-z'
'-y,x-y,z'
'x,y,-z'
'-x+y,-x,z'
'-y,x-y,-z'
loop_
_atom_site_label
_atom_site_type_symbol
_atom_site_fract_x
_atom_site_fract_y
_atom_site_fract_z
U1 U 0.0000 0.0000 0.0000
U2 U 0.3333 0.6667 0.5000
Ni1 Ni 0.0522 0.7642 0.5000
Ni2 Ni 0.1001 0.3904 0.0000
Ni3 Ni 0.3914 0.2111 0.0000
Ni4 Ni 0.5455 0.1173 0.5000
P1 P 0.0733 0.6259 0.0000
P2 P 0.2622 0.0424 0.5000
P3 P 0.6667 0.3333 0.0000
```